1.
Structure and theoretical X-ray powder pattern of ReBO6 (DFT lattice parameters and positions (PBE); Cu Kα X-rays).
Peak positions follow from Bragg's law for the DFT cell and can differ from measured ones.

Cell and atoms:
```
ReBO6
1.0
2.6769 -3.8966 0.0000
2.6769 3.8966 0.0000
-1.8376 0.0000 5.2358
Re B O
1 1 6
direct
0.0000 0.0000 0.0000
0.5000 0.5000 0.5000
0.0369 0.3738 0.9075
0.2605 0.2605 0.3597
0.3738 0.0369 0.9075
0.6262 0.9631 0.0925
0.7395 0.7395 0.6403
0.9631 0.6262 0.0925
```

Peak list (10 most intense, 10° ≤ 2θ ≤ 80°, sorted by position)
d [Å]  I/Imax
5.236  100
4.239  89
3.897  41
3.861  98
3.126  19
2.921  40
2.243  29
2.187  24
1.993  20
1.799  20

---

2.
Structure and theoretical X-ray powder pattern of Sr2ReBO6 (DFT lattice parameters and positions (PBE); Cu Kα X-rays).
Peak positions follow from Bragg's law for the DFT cell and can differ from measured ones.

Cell and atoms:
```
Sr2ReBO6
1.0
-3.0499 3.0499 3.3650
3.0499 -3.0499 3.3650
3.0499 3.0499 -3.3650
Sr Re B O
2 1 1 6
direct
0.2500 0.7500 0.5000
0.7500 0.2500 0.5000
0.0000 0.0000 0.0000
0.5000 0.5000 0.0000
0.2244 0.7742 0.9986
0.2258 0.2244 0.4502
0.3077 0.3077 0.0000
0.6923 0.6923 0.0000
0.7742 0.7756 0.5498
0.7756 0.2258 0.0014
```

Peak list (10 most intense, 10° ≤ 2θ ≤ 80°, sorted by position)
d [Å]  I/Imax
4.520  95
3.050  70
2.653  100
2.528  35
2.157  48
2.105  20
1.733  18
1.673  49
1.525  15
1.327  17

---

3.
Structure and theoretical X-ray powder pattern of B6RhO6 (DFT lattice parameters and positions (PBE); Cu Kα X-rays).
Peak positions follow from Bragg's law for the DFT cell and can differ from measured ones.

Cell and atoms:
```
B6RhO6
1.0
3.2446 -2.9925 0.0000
3.2446 2.9925 0.0000
-2.4090 0.0000 7.1058
B Rh O
6 1 6
direct
0.0172 0.6024 0.1179
0.1861 0.1861 0.2585
0.3976 0.9828 0.8821
0.6024 0.0172 0.1179
0.8139 0.8139 0.7415
0.9828 0.3976 0.8821
0.5000 0.5000 0.0000
0.0440 0.0440 0.8284
0.0909 0.4901 0.2851
0.4901 0.0909 0.2851
0.5099 0.9091 0.7149
0.9091 0.5099 0.7149
0.9560 0.9560 0.1716
```

Peak list (10 most intense, 10° ≤ 2θ ≤ 80°, sorted by position)
d [Å]  I/Imax
7.106  100
4.288  14
4.100  11
3.354  21
3.098  34
2.758  13
2.539  11
2.303  19
2.193  13
2.144  17

---

4.
Structure and theoretical X-ray powder pattern of Sr3B2RhO6 (DFT lattice parameters and positions (PBE); Cu Kα X-rays).
Peak positions follow from Bragg's law for the DFT cell and can differ from measured ones.

Cell and atoms:
```
Sr3B2RhO6
1.0
5.3269 0.0000 0.0000
-2.6635 4.6132 0.0000
0.0000 0.0000 7.4682
Sr B Rh O
3 2 1 6
direct
0.0000 0.0000 0.0000
0.3333 0.6667 0.6862
0.6667 0.3333 0.3138
0.3333 0.6667 0.2385
0.6667 0.3333 0.7615
0.0000 0.0000 0.5000
0.1831 0.3661 0.2413
0.1831 0.8169 0.2413
0.3661 0.1831 0.7587
0.6339 0.8169 0.2413
0.8169 0.1831 0.7587
0.8169 0.6339 0.7587
```

Peak list (10 most intense, 10° ≤ 2θ ≤ 80°, sorted by position)
d [Å]  I/Imax
4.613  21
3.925  20
2.902  100
2.663  62
2.204  24
1.962  41
1.731  17
1.580  26
1.274  14
1.210  13

---

5.
Structure and theoretical X-ray powder pattern of SrB2RhO6 (DFT lattice parameters and positions (PBE); Cu Kα X-rays).
Peak positions follow from Bragg's law for the DFT cell and can differ from measured ones.

Cell and atoms:
```
SrB2RhO6
1.0
2.4688 1.4254 5.5816
-2.4688 1.4254 5.5816
0.0000 -2.8507 5.5816
Sr B Rh O
1 2 1 6
direct
0.0000 0.0000 0.0000
0.2308 0.2308 0.2308
0.7692 0.7692 0.7692
0.5000 0.5000 0.5000
0.0633 0.7210 0.5081
0.2790 0.4919 0.9367
0.4919 0.9367 0.2790
0.5081 0.0633 0.7210
0.7210 0.5081 0.0633
0.9367 0.2790 0.4919
```

Peak list (10 most intense, 10° ≤ 2θ ≤ 80°, sorted by position)
d [Å]  I/Imax
3.808  83
2.991  100
2.469  30
2.072  26
1.904  14
1.880  21
1.849  42
1.587  21
1.508  18
1.425  12